Entry 1:
Diffraction record for SmScS2Br2. The X-ray diffraction stick pattern is theoretical, not measured: it uses a DFT-relaxed cell (PBE, OQMD) and Cu Ka.
Peak positions follow from Bragg's law for the DFT cell and can differ from measured ones.

The 10 most intense peaks (2θ = 5–70°), in order of falling intensity:
d_spacing  2theta  I/Imax
2.996  29.82  100
4.558  19.48  87
9.088  9.73  47
1.978  45.87  41
2.193  41.17  39
2.635  34.02  28
1.719  53.28  18
1.825  49.98  14
1.588  58.07  14
1.991  45.56  14

Cell and atoms:
```
data_SmScS2Br2
_space_group_name_H-M_alt 'P m m 2'
_space_group_IT_number 25
_space_group_name_Hall 'P 2 -2'
_cell_length_a 3.9826
_cell_length_b 5.2699
_cell_length_c 9.0876
_cell_angle_alpha 90.00
_cell_angle_beta 90.00
_cell_angle_gamma 90.00
loop_
_atom_site_label
_atom_site_fract_x
_atom_site_fract_y
_atom_site_fract_z
Sm1 0.0000 0.0000 0.0000
Sc1 0.5000 0.5000 0.7438
S1 0.0000 0.5000 0.9275
S2 0.5000 0.0000 0.7845
Br1 0.0000 0.5000 0.5416
Br2 0.5000 0.0000 0.2275
```

Entry 2:
Diffraction record for TbNdNi8B2. The X-ray diffraction stick pattern is theoretical, not measured: it uses a DFT-relaxed cell (PBE, OQMD) and Cu Ka.
Peak positions follow from Bragg's law for the DFT cell and can differ from measured ones.

The 10 most intense peaks (2θ = 5–70°), in order of falling intensity:
d_spacing  2theta  I/Imax
2.043  44.34  100
2.725  32.86  86
2.182  41.37  75
2.520  35.63  30
1.491  62.25  27
1.363  68.91  15
1.434  65.02  15
1.745  52.45  13
2.370  37.96  13
2.326  38.71  13

Cell and atoms:
```
data_TbNdNi8B2
_space_group_name_H-M_alt 'P 6/m m m'
_space_group_IT_number 191
_space_group_name_Hall '-P 6 2'
_cell_length_a 5.0397
_cell_length_b 5.0397
_cell_length_c 6.9783
_cell_angle_alpha 90.00
_cell_angle_beta 90.00
_cell_angle_gamma 120.00
loop_
_atom_site_label
_atom_site_fract_x
_atom_site_fract_y
_atom_site_fract_z
Tb1 0.0000 0.0000 0.0000
Nd1 0.0000 0.0000 0.5000
Ni1 0.0000 0.5000 0.2914
Ni2 0.3333 0.6667 0.0000
B1 0.3333 0.6667 0.5000
```

Entry 3:
Diffraction record for Dy4Fe2SnGe4. The X-ray diffraction stick pattern is theoretical, not measured: it uses a DFT-relaxed cell (PBE, OQMD) and Cu Ka.
Peak positions follow from Bragg's law for the DFT cell and can differ from measured ones.

The 10 most intense peaks (2θ = 5–70°), in order of falling intensity:
d_spacing  2theta  I/Imax
2.592  34.61  100
2.700  33.18  96
2.489  36.08  68
2.127  42.50  50
2.231  40.42  35
2.581  34.75  33
2.428  37.03  31
3.220  27.70  27
1.596  57.78  25
1.540  60.10  22

Cell and atoms:
```
data_Dy4Fe2SnGe4
_space_group_name_H-M_alt 'C 1 2/m 1'
_space_group_IT_number 12
_space_group_name_Hall '-C 2y'
_cell_length_a 15.5221
_cell_length_b 4.2536
_cell_length_c 7.0240
_cell_angle_alpha 90.00
_cell_angle_beta 107.73
_cell_angle_gamma 90.00
loop_
_atom_site_label
_atom_site_fract_x
_atom_site_fract_y
_atom_site_fract_z
Dy1 0.0903 0.0000 0.3862
Dy2 0.1538 0.0000 0.9410
Fe1 0.2189 0.5000 0.6352
Sn1 0.0000 0.5000 0.0000
Ge1 0.0689 0.5000 0.6571
Ge2 0.2104 0.5000 0.2797
```